Structure and computed XRD peak list of Zr2ScPdN (a structure optimized by DFT (GGA-PBE); Cu Kα, 1.54184 Å).
Lines closer than 0.1° are merged.

Principal peaks in the range 2θ = 5–70°, most intense first:
d 2.556, 35.11°, intensity 100
d 2.233, 40.40°, intensity 39
d 1.558, 59.30°, intensity 24
d 2.176, 41.50°, intensity 18
d 1.579, 58.46°, intensity 13
d 3.117, 28.64°, intensity 10
d 4.465, 19.88°, intensity 4
d 1.815, 50.27°, intensity 4

Structural model:
```
data_Zr2ScPdN
_symmetry_space_group_name_H-M 'P 4/m m m'
_symmetry_Int_Tables_number 123
_symmetry_space_group_name_Hall '-P 4 2'
_cell_length_a 4.465
_cell_length_b 4.465
_cell_length_c 4.352
_cell_angle_alpha 90.00
_cell_angle_beta 90.00
_cell_angle_gamma 90.00
loop_
_atom_site_label
_atom_site_fract_x
_atom_site_fract_y
_atom_site_fract_z
Zr1 0.000 0.500 0.000
Sc1 0.000 0.000 0.500
Pd1 0.500 0.500 0.500
N1 0.000 0.000 0.000
```